Entry 1:
This entry pairs a crystal structure of Ag2PbCl5 with its simulated powder diffractogram. Radiation: Cu Kα (λ = 1.5418 Å). Structure: a crystal structure in Alexandria, relaxed with GGA-PBE.

Main lines, in order of rising 2θ (10 to 80 degrees two-theta):
2θ/deg, d_spacing, intensity
14.54, 6.091, 1000
17.50, 5.068, 142
18.71, 4.743, 156
26.33, 3.385, 204
27.17, 3.282, 150
30.40, 2.941, 359
31.46, 2.844, 222
32.99, 2.715, 362
35.01, 2.563, 291
40.81, 2.211, 146

Crystal structure
Lattice parameters (Å, degrees): 7.0777 7.0777 6.5281 98.64 98.64 130.64
Sites, in units of the cell vectors:
Ag1 0.2026 0.7974 0.0000
Ag2 0.7974 0.2026 0.0000
Pb1 0.5000 0.5000 0.0000
Cl1 0.0000 0.0000 0.0000
Cl2 0.1772 0.4869 0.7048
Cl3 0.4869 0.1772 0.7048
Cl4 0.5131 0.8228 0.2952
Cl5 0.8228 0.5131 0.2952

***

Entry 2:
This entry pairs a crystal structure of Si23Pb3 with its simulated powder diffractogram. Radiation: Cu Kα (λ = 1.5418 Å). Structure: a crystal structure in Alexandria, relaxed with GGA-PBE.

Main lines, in order of rising 2θ (10 to 80 degrees two-theta):
2θ/deg, d_spacing, intensity
12.25, 7.224, 501
19.43, 4.569, 1000
30.31, 2.949, 835
31.58, 2.833, 903
32.80, 2.730, 738
35.14, 2.554, 323
40.46, 2.229, 327
47.96, 1.897, 405
52.21, 1.752, 375
55.45, 1.657, 303

Crystal structure
Lattice parameters (Å, degrees): 10.2156 10.2156 10.2156 90.00 90.00 90.00
Sites, in units of the cell vectors:
Si1 0.0000 0.1169 0.3083
Si2 0.0000 0.1169 0.6917
Si3 0.0000 0.2500 0.5000
Si4 0.0000 0.7500 0.5000
Si5 0.0000 0.8831 0.3083
Si6 0.0000 0.8831 0.6917
Si7 0.1169 0.3083 0.0000
Si8 0.1169 0.6917 0.0000
Si9 0.1843 0.1843 0.1843
Si10 0.1843 0.1843 0.8157
Si11 0.1843 0.8157 0.1843
Si12 0.1843 0.8157 0.8157
Si13 0.1917 0.3831 0.5000
Si14 0.1917 0.6169 0.5000
Si15 0.2500 0.5000 0.0000
Si16 0.3083 0.0000 0.1169
Si17 0.3083 0.0000 0.8831
Si18 0.3157 0.3157 0.3157
Si19 0.3157 0.3157 0.6843
Si20 0.3157 0.6843 0.3157
Si21 0.3157 0.6843 0.6843
Si22 0.3831 0.5000 0.1917
Si23 0.3831 0.5000 0.8083
Si24 0.5000 0.0000 0.2500
Si25 0.5000 0.0000 0.7500
Si26 0.5000 0.1917 0.3831
Si27 0.5000 0.1917 0.6169
Si28 0.5000 0.8083 0.3831
Si29 0.5000 0.8083 0.6169
Si30 0.6169 0.5000 0.1917
Si31 0.6169 0.5000 0.8083
Si32 0.6843 0.3157 0.3157
Si33 0.6843 0.3157 0.6843
Si34 0.6843 0.6843 0.3157
Si35 0.6843 0.6843 0.6843
Si36 0.6917 0.0000 0.1169
Si37 0.6917 0.0000 0.8831
Si38 0.7500 0.5000 0.0000
Si39 0.8083 0.3831 0.5000
Si40 0.8083 0.6169 0.5000
Si41 0.8157 0.1843 0.1843
Si42 0.8157 0.1843 0.8157
Si43 0.8157 0.8157 0.1843
Si44 0.8157 0.8157 0.8157
Si45 0.8831 0.3083 0.0000
Si46 0.8831 0.6917 0.0000
Pb1 0.0000 0.5000 0.2500
Pb2 0.0000 0.5000 0.7500
Pb3 0.2500 0.0000 0.5000
Pb4 0.5000 0.2500 0.0000
Pb5 0.5000 0.7500 0.0000
Pb6 0.7500 0.0000 0.5000

***

Entry 3:
This entry pairs a crystal structure of Li2PmBi2O6 with its simulated powder diffractogram. Radiation: Cu Kα (λ = 1.5418 Å). Structure: a crystal structure in Alexandria, relaxed with GGA-PBE.

Main lines, in order of rising 2θ (10 to 80 degrees two-theta):
2θ/deg, d_spacing, intensity
16.04, 5.527, 201
24.20, 3.678, 1000
31.45, 2.844, 581
32.40, 2.763, 147
35.50, 2.529, 237
40.08, 2.250, 277
45.78, 1.982, 587
51.81, 1.765, 264
56.00, 1.642, 181
75.13, 1.264, 134

Crystal structure
Lattice parameters (Å, degrees): 5.6884 5.6884 5.5269 90.00 90.00 120.00
Sites, in units of the cell vectors:
Li1 0.3333 0.6667 0.0000
Li2 0.6667 0.3333 0.0000
Pm1 0.0000 0.0000 0.0000
Bi1 0.3333 0.6667 0.5000
Bi2 0.6667 0.3333 0.5000
O1 0.0000 0.3560 0.2338
O2 0.0000 0.6440 0.7662
O3 0.3560 0.0000 0.2338
O4 0.3560 0.3560 0.7662
O5 0.6440 0.0000 0.7662
O6 0.6440 0.6440 0.2338

***

Entry 4:
This entry pairs a crystal structure of AcCd2PdPt2 with its simulated powder diffractogram. Radiation: Cu Kα (λ = 1.5418 Å). Structure: a crystal structure in Alexandria, relaxed with GGA-PBE.

Main lines, in order of rising 2θ (10 to 80 degrees two-theta):
2θ/deg, d_spacing, intensity
16.25, 5.454, 261
23.55, 3.778, 633
32.84, 2.727, 517
33.54, 2.672, 1000
40.81, 2.211, 296
47.65, 1.908, 733
48.17, 1.889, 363
59.53, 1.553, 376
64.92, 1.436, 159
79.98, 1.200, 161

Crystal structure
Lattice parameters (Å, degrees): 6.6349 6.6349 6.6349 132.51 132.51 69.43
Sites, in units of the cell vectors:
Ac1 0.0000 0.0000 0.0000
Cd1 0.2500 0.7500 0.5000
Cd2 0.7500 0.2500 0.5000
Pd1 0.5000 0.5000 0.0000
Pt1 0.2595 0.2595 0.0000
Pt2 0.7405 0.7405 0.0000

***

Entry 5:
This entry pairs a crystal structure of SnSbP with its simulated powder diffractogram. Radiation: Cu Kα (λ = 1.5418 Å). Structure: a crystal structure in Alexandria, relaxed with GGA-PBE.

Main lines, in order of rising 2θ (10 to 80 degrees two-theta):
2θ/deg, d_spacing, intensity
20.95, 4.241, 205
23.49, 3.788, 308
25.68, 3.469, 494
29.26, 3.052, 387
29.91, 2.988, 300
32.75, 2.735, 1000
33.37, 2.685, 561
42.64, 2.121, 308
45.50, 1.993, 186
48.27, 1.885, 263

Crystal structure
Lattice parameters (Å, degrees): 4.5186 4.2412 8.6559 90.00 103.42 90.00
Sites, in units of the cell vectors:
Sn1 0.0000 0.0000 0.0000
Sn2 0.0756 0.5000 0.3930
Sb1 0.5041 0.0000 0.6929
Sb2 0.6464 0.0000 0.2426
P1 0.2058 0.5000 0.8672
P2 0.8348 0.5000 0.6504

***

Entry 6:
This entry pairs a crystal structure of UTcNiRh with its simulated powder diffractogram. Radiation: Cu Kα (λ = 1.5418 Å). Structure: a crystal structure in Alexandria, relaxed with GGA-PBE.

Main lines, in order of rising 2θ (10 to 80 degrees two-theta):
2θ/deg, d_spacing, intensity
21.54, 4.125, 110
22.42, 3.966, 114
39.45, 2.284, 1000
43.90, 2.062, 184
45.76, 1.983, 164
47.89, 1.899, 143
65.28, 1.429, 113
66.98, 1.397, 105
68.39, 1.372, 98
77.68, 1.229, 138

Crystal structure
Lattice parameters (Å, degrees): 3.7990 3.9658 4.1249 90.00 90.00 90.00
Sites, in units of the cell vectors:
U1 0.0000 0.0000 0.0000
Tc1 0.5000 0.5000 0.0000
Ni1 0.0000 0.5000 0.5000
Rh1 0.5000 0.0000 0.5000

***

Entry 7:
This entry pairs a crystal structure of Sm4SiGeCl2 with its simulated powder diffractogram. Radiation: Cu Kα (λ = 1.5418 Å). Structure: a crystal structure in Alexandria, relaxed with GGA-PBE.

Main lines, in order of rising 2θ (10 to 80 degrees two-theta):
2θ/deg, d_spacing, intensity
25.90, 3.440, 431
26.24, 3.396, 123
30.09, 2.969, 1000
42.86, 2.110, 387
43.30, 2.090, 330
50.98, 1.791, 85
53.20, 1.722, 132
62.56, 1.485, 109
70.70, 1.332, 111
71.25, 1.324, 83

Crystal structure
Lattice parameters (Å, degrees): 7.2182 4.2264 7.2987 90.00 109.79 90.00
Sites, in units of the cell vectors:
Sm1 0.2255 0.0000 0.2388
Sm2 0.2263 0.5000 0.7447
Sm3 0.7737 0.5000 0.2553
Sm4 0.7745 0.0000 0.7612
Si1 0.0000 0.5000 0.0000
Ge1 0.0000 0.0000 0.5000
Cl1 0.5000 0.0000 0.0000
Cl2 0.5000 0.5000 0.5000

***

Entry 8:
This entry pairs a crystal structure of Tb3SmHo5 with its simulated powder diffractogram. Radiation: Cu Kα (λ = 1.5418 Å). Structure: a crystal structure in Alexandria, relaxed with GGA-PBE.

Main lines, in order of rising 2θ (10 to 80 degrees two-theta):
2θ/deg, d_spacing, intensity
23.05, 3.858, 130
30.73, 2.910, 319
31.45, 2.845, 1000
31.64, 2.828, 901
31.79, 2.815, 268
31.96, 2.801, 171
32.62, 2.745, 293
34.82, 2.577, 129
50.61, 1.804, 151
56.77, 1.622, 178

Crystal structure
Lattice parameters (Å, degrees): 8.7934 8.7934 11.3092 107.10 107.10 44.56
Sites, in units of the cell vectors:
Tb1 0.0000 0.0000 0.0000
Tb2 0.0000 0.0000 0.5000
Tb3 0.0557 0.2962 0.3740
Tb4 0.2962 0.0557 0.8740
Tb5 0.7038 0.9443 0.1260
Tb6 0.9443 0.7038 0.6260
Sm1 0.2290 0.7710 0.2500
Sm2 0.7710 0.2290 0.7500
Ho1 0.1389 0.3867 0.1450
Ho2 0.3180 0.6820 0.7500
Ho3 0.3867 0.1389 0.6450
Ho4 0.3870 0.3975 0.9546
Ho5 0.3975 0.3870 0.4546
Ho6 0.6025 0.6130 0.5454
Ho7 0.6130 0.6025 0.0454
Ho8 0.6133 0.8611 0.3550
Ho9 0.6820 0.3180 0.2500
Ho10 0.8611 0.6133 0.8550

***

Entry 9:
This entry pairs a crystal structure of MnGa2Ni6 with its simulated powder diffractogram. Radiation: Cu Kα (λ = 1.5418 Å). Structure: a crystal structure in Alexandria, relaxed with GGA-PBE.

Main lines, in order of rising 2θ (10 to 80 degrees two-theta):
2θ/deg, d_spacing, intensity
43.61, 2.075, 1000
47.90, 1.899, 186
48.02, 1.895, 187
56.18, 1.637, 113
70.16, 1.341, 109
76.81, 1.241, 41
76.96, 1.239, 124

Crystal structure
Lattice parameters (Å, degrees): 5.2648 5.2648 7.5172 127.49 127.49 42.19
Sites, in units of the cell vectors:
Mn1 0.0000 0.0000 0.0000
Ga1 0.3383 0.3383 0.6767
Ga2 0.6617 0.6617 0.3233
Ni1 0.0020 0.0020 0.3349
Ni2 0.3310 0.3310 0.0000
Ni3 0.3330 0.3330 0.3354
Ni4 0.6670 0.6670 0.6646
Ni5 0.6690 0.6690 0.0000
Ni6 0.9980 0.9980 0.6651

***

Entry 10:
This entry pairs a crystal structure of Ac2TmTl3Se6 with its simulated powder diffractogram. Radiation: Cu Kα (λ = 1.5418 Å). Structure: a crystal structure in Alexandria, relaxed with GGA-PBE.

Main lines, in order of rising 2θ (10 to 80 degrees two-theta):
2θ/deg, d_spacing, intensity
23.01, 3.865, 116
24.43, 3.644, 272
27.88, 3.201, 1000
38.94, 2.313, 378
40.71, 2.216, 367
47.28, 1.923, 117
50.10, 1.821, 130
57.60, 1.600, 119
63.92, 1.456, 153
66.39, 1.408, 109

Crystal structure
Lattice parameters (Å, degrees): 7.6731 7.6731 8.1399 99.04 99.04 119.89
Sites, in units of the cell vectors:
Ac1 0.1667 0.8333 0.0000
Ac2 0.8333 0.1667 0.0000
Tm1 0.5000 0.5000 0.0000
Tl1 0.0000 0.0000 0.5000
Tl2 0.3333 0.6667 0.5000
Tl3 0.6667 0.3333 0.5000
Se1 0.1193 0.4297 0.7901
Se2 0.2604 0.2604 0.2146
Se3 0.4297 0.1193 0.7901
Se4 0.5703 0.8807 0.2099
Se5 0.7396 0.7396 0.7854
Se6 0.8807 0.5703 0.2099

***

Entry 11:
This entry pairs a crystal structure of Mg2Ag with its simulated powder diffractogram. Radiation: Cu Kα (λ = 1.5418 Å). Structure: a crystal structure in Alexandria, relaxed with GGA-PBE.

Main lines, in order of rising 2θ (10 to 80 degrees two-theta):
2θ/deg, d_spacing, intensity
12.28, 7.205, 506
24.71, 3.603, 506
28.61, 3.120, 178
37.45, 2.402, 1000
40.91, 2.206, 215
43.51, 2.080, 235
52.36, 1.747, 162
63.23, 1.471, 206
68.97, 1.362, 183
75.85, 1.254, 159

Crystal structure
Lattice parameters (Å, degrees): 8.8243 8.8243 8.8243 60.00 60.00 60.00
Sites, in units of the cell vectors:
Mg1 0.0000 0.0000 0.0000
Mg2 0.0000 0.0000 0.5000
Mg3 0.0000 0.5000 0.0000
Mg4 0.1844 0.1844 0.5656
Mg5 0.1844 0.5656 0.1844
Mg6 0.1844 0.5656 0.5656
Mg7 0.4344 0.4344 0.8156
Mg8 0.4344 0.8156 0.4344
Mg9 0.4344 0.8156 0.8156
Mg10 0.5000 0.0000 0.0000
Mg11 0.5656 0.1844 0.1844
Mg12 0.5656 0.1844 0.5656
Mg13 0.5656 0.5656 0.1844
Mg14 0.8156 0.4344 0.4344
Mg15 0.8156 0.4344 0.8156
Mg16 0.8156 0.8156 0.4344
Ag1 0.1456 0.7848 0.7848
Ag2 0.2152 0.2152 0.2152
Ag3 0.2152 0.2152 0.8544
Ag4 0.2152 0.8544 0.2152
Ag5 0.7848 0.1456 0.7848
Ag6 0.7848 0.7848 0.1456
Ag7 0.7848 0.7848 0.7848
Ag8 0.8544 0.2152 0.2152

***

Entry 12:
This entry pairs a crystal structure of Ho8Th2Al with its simulated powder diffractogram. Radiation: Cu Kα (λ = 1.5418 Å). Structure: a crystal structure in Alexandria, relaxed with GGA-PBE.

Main lines, in order of rising 2θ (10 to 80 degrees two-theta):
2θ/deg, d_spacing, intensity
31.48, 2.842, 987
32.35, 2.767, 778
32.47, 2.757, 433
32.75, 2.735, 1000
33.16, 2.702, 368
33.88, 2.646, 295
36.92, 2.435, 187
56.32, 1.633, 190
57.04, 1.615, 188
64.59, 1.443, 180

Crystal structure
Lattice parameters (Å, degrees): 9.7476 9.7476 5.6936 92.04 92.04 40.18
Sites, in units of the cell vectors:
Ho1 0.0498 0.0498 0.2335
Ho2 0.1180 0.6387 0.2526
Ho3 0.3335 0.3335 0.7704
Ho4 0.3613 0.8820 0.7474
Ho5 0.6387 0.1180 0.2526
Ho6 0.6665 0.6665 0.2296
Ho7 0.8820 0.3613 0.7474
Ho8 0.9502 0.9502 0.7665
Th1 0.2229 0.2229 0.2678
Th2 0.7771 0.7771 0.7322
Al1 0.5000 0.5000 0.0000